The following is a theoretical powder X-ray diffraction pattern of In4Rh. It was derived from a crystal structure in Alexandria, relaxed with GGA-PBE, using Cu Kα (λ = 1.5418 Å).

Structural model:
Lattice parameters (Å, degrees): 6.296 6.296 6.296 90.00 90.00 90.00
Space group Im-3m (No. 229)
Symmetry-distinct sites (fractional):
In  0.250  0.250  0.250
Rh  0.000  0.000  0.000

Top 8 peaks for 2θ from 10° to 80°, by intensity:
- 2θ 40.52, 2.226 Å, intensity 100, (2 2 0)
- 2θ 28.35, 3.148 Å, intensity 53, (2 0 0)
- 2θ 73.71, 1.285 Å, intensity 33, (4 2 2)
- 2θ 19.94, 4.452 Å, intensity 22, (1 1 0)
- 2θ 66.40, 1.408 Å, intensity 18, (4 2 0)
- 2θ 58.65, 1.574 Å, intensity 16, (4 0 0)
- 2θ 50.19, 1.818 Å, intensity 14, (2 2 2)
- 2θ 34.90, 2.571 Å, intensity 10, (2 1 1)

---

The following is a theoretical powder X-ray diffraction pattern of Hf2Zr3Zn3. It was derived from a crystal structure in Alexandria, relaxed with GGA-PBE, using Cu Kα (λ = 1.5418 Å).

Structural model:
Lattice parameters (Å, degrees): 3.275 4.908 19.653 90.00 90.00 90.00
Space group Immm (No. 71)
Symmetry-distinct sites (fractional):
Hf  0.000  0.000  0.234
Zr  0.000  0.000  0.000
Zr  0.000  0.500  0.124
Zn  0.000  0.000  0.500
Zn  0.000  0.500  0.383

Top 8 peaks for 2θ from 10° to 80°, by intensity:
- 2θ 37.76, 2.383 Å, intensity 100, (1 1 4)
- 2θ 36.60, 2.455 Å, intensity 50, (0 2 0)
- 2θ 66.66, 1.403 Å, intensity 27, (1 3 4)
- 2θ 68.93, 1.362 Å, intensity 15, (2 2 0)
- 2θ 52.72, 1.736 Å, intensity 15, (0 2 8)
- 2θ 56.17, 1.638 Å, intensity 8, (2 0 0)
- 2θ 34.15, 2.625 Å, intensity 7, (1 1 2)
- 2θ 29.10, 3.068 Å, intensity 6, (0 1 5)

---

The following is a theoretical powder X-ray diffraction pattern of Cs2TbSe2O6. It was derived from a crystal structure in Alexandria, relaxed with GGA-PBE, using Cu Kα (λ = 1.5418 Å).

Structural model:
Lattice parameters (Å, degrees): 10.132 6.350 7.651 90.00 111.47 90.00
Space group C2/m (No. 12)
Symmetry-distinct sites (fractional):
Cs  0.211  0.000  0.155
Tb  0.000  0.000  0.500
Se  0.082  0.500  0.247
O  0.004  0.252  0.285
O  0.244  0.000  0.591

Top 8 peaks for 2θ from 10° to 80°, by intensity:
- 2θ 27.21, 3.277 Å, intensity 100, (1 1 -2)
- 2θ 30.05, 2.974 Å, intensity 81, (3 1 -1)
- 2θ 26.21, 3.400 Å, intensity 49, (2 0 1)
- 2θ 28.10, 3.175 Å, intensity 47, (0 2 0)
- 2θ 38.81, 2.321 Å, intensity 30, (2 2 1)
- 2θ 22.96, 3.873 Å, intensity 29, (1 1 1)
- 2θ 50.94, 1.793 Å, intensity 28, (3 3 -1)
- 2θ 38.14, 2.359 Å, intensity 22, (2 2 -2)

---

The following is a theoretical powder X-ray diffraction pattern of Tm8Tl3PSe3. It was derived from a crystal structure in Alexandria, relaxed with GGA-PBE, using Cu Kα (λ = 1.5418 Å).

Structural model:
Lattice parameters (Å, degrees): 13.445 7.777 8.906 90.00 120.16 90.00
Space group C2/m (No. 12)
Symmetry-distinct sites (fractional):
Tm  0.009  0.241  0.285
Tm  0.232  0.000  0.715
Tm  0.240  0.500  0.721
Tl  0.000  0.000  0.000
Tl  0.250  0.250  0.000
P  0.000  0.000  0.500
Se  0.000  0.500  0.500
Se  0.250  0.250  0.500

Top 8 peaks for 2θ from 10° to 80°, by intensity:
- 2θ 30.76, 2.907 Å, intensity 100, (4 0 0)
- 2θ 41.20, 2.191 Å, intensity 39, (2 2 2)
- 2θ 46.77, 1.942 Å, intensity 33, (0 4 0)
- 2θ 68.64, 1.367 Å, intensity 13, (6 2 2)
- 2θ 56.99, 1.616 Å, intensity 12, (4 4 0)
- 2θ 32.93, 2.720 Å, intensity 11, (2 2 1)
- 2θ 64.06, 1.454 Å, intensity 11, (8 0 0)
- 2θ 76.72, 1.242 Å, intensity 10, (8 4 -4)